Starting from a crystal structure in Alexandria, relaxed with GGA-PBE, the powder XRD pattern of Sm5AgS8 was simulated for CuKα.

Cell and atoms:
```
data_Sm5AgS8
_cell_length_a 7.350
_cell_length_b 7.350
_cell_length_c 7.350
_cell_angle_alpha 109.70
_cell_angle_beta 109.70
_cell_angle_gamma 109.02
_space_group_name_H-M_alt 'P 1'
_space_group_IT_number 1
loop_
_space_group_symop_operation_xyz
'x,y,z'
loop_
_atom_site_label
_atom_site_type_symbol
_atom_site_fract_x
_atom_site_fract_y
_atom_site_fract_z
_atom_site_occupancy
Sm1 Sm 0.000 0.000 0.000 1
Sm2 Sm 0.249 0.630 0.116 1
Sm3 Sm 0.370 0.485 0.619 1
Sm4 Sm 0.515 0.133 0.884 1
Sm5 Sm 0.867 0.751 0.381 1
Ag1 Ag 0.750 0.250 0.500 1
S1 S 0.119 0.229 0.752 1
S2 S 0.143 0.750 0.760 1
S3 S 0.250 0.010 0.393 1
S4 S 0.477 0.367 0.248 1
S5 S 0.617 0.857 0.607 1
S6 S 0.633 0.881 0.109 1
S7 S 0.771 0.523 0.891 1
S8 S 0.990 0.383 0.240 1
```

Most intense lines, 2θ from 5° to 70°, by angle:
d_spacing	I_rel
3.474	57
3.460	99
2.696	45
2.677	100
2.274	32
2.265	56
1.905	21
1.894	38
1.810	29
1.660	22



Starting from a crystal structure in Alexandria, relaxed with GGA-PBE, the powder XRD pattern of SmAg2S2 was simulated for CuKα.

Cell and atoms:
```
data_SmAg2S2
_cell_length_a 5.789
_cell_length_b 5.789
_cell_length_c 7.392
_cell_angle_alpha 110.48
_cell_angle_beta 110.48
_cell_angle_gamma 88.82
_space_group_name_H-M_alt 'P 1'
_space_group_IT_number 1
loop_
_space_group_symop_operation_xyz
'x,y,z'
loop_
_atom_site_label
_atom_site_type_symbol
_atom_site_fract_x
_atom_site_fract_y
_atom_site_fract_z
_atom_site_occupancy
Sm1 Sm 0.143 0.857 0.750 1
Sm2 Sm 0.857 0.143 0.250 1
Ag1 Ag 0.000 0.500 0.000 1
Ag2 Ag 0.500 0.000 0.500 1
Ag3 Ag 0.500 0.500 0.000 1
Ag4 Ag 0.500 0.500 0.500 1
S1 S 0.115 0.329 0.695 1
S2 S 0.329 0.115 0.195 1
S3 S 0.671 0.885 0.805 1
S4 S 0.885 0.671 0.305 1
```

Most intense lines, 2θ from 5° to 70°, by angle:
d_spacing	I_rel
3.544	77
3.359	55
2.890	46
2.693	27
2.586	100
2.529	46
2.515	33
2.405	37
2.307	38
1.715	35



Starting from a crystal structure in Alexandria, relaxed with GGA-PBE, the powder XRD pattern of SmAgS2 was simulated for CuKα.

Cell and atoms:
```
data_SmAgS2
_cell_length_a 7.778
_cell_length_b 7.778
_cell_length_c 12.947
_cell_angle_alpha 90.00
_cell_angle_beta 90.00
_cell_angle_gamma 90.00
_space_group_name_H-M_alt 'P 1'
_space_group_IT_number 1
loop_
_space_group_symop_operation_xyz
'x,y,z'
loop_
_atom_site_label
_atom_site_type_symbol
_atom_site_fract_x
_atom_site_fract_y
_atom_site_fract_z
_atom_site_occupancy
Sm1 Sm 0.000 0.001 0.002 1
Sm2 Sm 0.000 0.501 0.498 1
Sm3 Sm 0.249 0.750 0.753 1
Sm4 Sm 0.251 0.250 0.253 1
Sm5 Sm 0.500 0.499 0.998 1
Sm6 Sm 0.500 0.999 0.502 1
Sm7 Sm 0.749 0.750 0.247 1
Sm8 Sm 0.751 0.250 0.747 1
Ag1 Ag 0.010 0.018 0.575 1
Ag2 Ag 0.232 0.758 0.325 1
Ag3 Ag 0.268 0.242 0.825 1
Ag4 Ag 0.490 0.982 0.075 1
Ag5 Ag 0.510 0.482 0.425 1
Ag6 Ag 0.732 0.742 0.675 1
Ag7 Ag 0.768 0.258 0.175 1
Ag8 Ag 0.990 0.518 0.925 1
S1 S 0.026 0.527 0.280 1
S2 S 0.034 0.034 0.784 1
S3 S 0.217 0.783 0.534 1
S4 S 0.223 0.724 0.970 1
S5 S 0.277 0.276 0.470 1
S6 S 0.283 0.217 0.034 1
S7 S 0.466 0.966 0.284 1
S8 S 0.474 0.473 0.780 1
S9 S 0.526 0.973 0.720 1
S10 S 0.534 0.466 0.216 1
S11 S 0.717 0.717 0.466 1
S12 S 0.723 0.776 0.030 1
S13 S 0.777 0.224 0.530 1
S14 S 0.783 0.283 0.966 1
S15 S 0.966 0.534 0.716 1
S16 S 0.974 0.027 0.220 1
```

Most intense lines, 2θ from 5° to 70°, by angle:
d_spacing	I_rel
5.062	17
4.976	20
3.334	80
3.237	20
2.750	100
2.343	50
2.096	22
1.944	33
1.783	41
1.680	27